No. 1
Structure and computed powder X-ray diffraction pattern of NaLaHoTe3 (the GGA-PBE geometry in Alexandria; Cu Kα, 1.54184 Å).

Structural model:
```
data_NaLaHoTe3
_cell_length_a 8.8486
_cell_length_b 4.4538
_cell_length_c 9.9376
_cell_angle_alpha 90.00
_cell_angle_beta 105.93
_cell_angle_gamma 90.00
_space_group_name_H-M_alt 'P 1'
_space_group_IT_number 1
loop_
_space_group_symop_operation_xyz
'x,y,z'
loop_
_atom_site_label
_atom_site_fract_x
_atom_site_fract_y
_atom_site_fract_z
Na1 0.0944 0.2500 0.0850
Na2 0.9056 0.7500 0.9150
La1 0.2047 0.2500 0.7351
La2 0.7953 0.7500 0.2649
Ho1 0.3268 0.7500 0.3426
Ho2 0.6732 0.2500 0.6574
Te1 0.0909 0.2500 0.3801
Te2 0.2723 0.7500 0.0021
Te3 0.4393 0.7500 0.6642
Te4 0.5607 0.2500 0.3358
Te5 0.7277 0.2500 0.9979
Te6 0.9091 0.7500 0.6199
```

Main lines, by angle (5° ≤ 2θ ≤ 70°):
| Position (°2θ) | I/Imax |
| --- | --- |
| 9.3 | 37 |
| 28.0 | 68 |
| 28.7 | 100 |
| 29.0 | 97 |
| 33.8 | 43 |
| 36.4 | 36 |
| 37.8 | 37 |
| 40.5 | 44 |
| 40.9 | 33 |
| 46.2 | 30 |
| 50.0 | 27 |
| 58.9 | 22 |

***

No. 2
Structure and computed powder X-ray diffraction pattern of La4Nd4Ho (the GGA-PBE geometry in Alexandria; Cu Kα, 1.54184 Å).

Structural model:
```
data_La4Nd4Ho
_cell_length_a 6.3935
_cell_length_b 6.3935
_cell_length_c 11.0722
_cell_angle_alpha 107.11
_cell_angle_beta 107.11
_cell_angle_gamma 48.31
_space_group_name_H-M_alt 'P 1'
_space_group_IT_number 1
loop_
_space_group_symop_operation_xyz
'x,y,z'
loop_
_atom_site_label
_atom_site_fract_x
_atom_site_fract_y
_atom_site_fract_z
La1 0.1631 0.1631 0.2189
La2 0.1691 0.1691 0.5574
La3 0.8309 0.8309 0.4426
La4 0.8369 0.8369 0.7811
Nd1 0.1690 0.1690 0.8909
Nd2 0.4979 0.4979 0.3305
Nd3 0.5021 0.5021 0.6695
Nd4 0.8310 0.8310 0.1091
Ho1 0.5000 0.5000 0.0000
```

Main lines, by angle (5° ≤ 2θ ≤ 70°):
| Position (°2θ) | I/Imax |
| --- | --- |
| 29.6 | 100 |
| 34.3 | 34 |
| 34.5 | 17 |
| 49.3 | 12 |
| 49.4 | 18 |
| 49.5 | 6 |
| 58.5 | 7 |
| 58.6 | 22 |
| 58.8 | 7 |
| 58.9 | 7 |
| 61.5 | 6 |
| 61.6 | 6 |

***

No. 3
Structure and computed powder X-ray diffraction pattern of LaNd4Ho6 (the GGA-PBE geometry in Alexandria; Cu Kα, 1.54184 Å).

Structural model:
```
data_LaNd4Ho6
_cell_length_a 11.0627
_cell_length_b 11.0627
_cell_length_c 3.5554
_cell_angle_alpha 90.00
_cell_angle_beta 90.00
_cell_angle_gamma 120.00
_space_group_name_H-M_alt 'P 1'
_space_group_IT_number 1
loop_
_space_group_symop_operation_xyz
'x,y,z'
loop_
_atom_site_label
_atom_site_fract_x
_atom_site_fract_y
_atom_site_fract_z
La1 0.0000 0.0000 0.0000
Nd1 0.3333 0.6667 0.0000
Nd2 0.3960 0.1980 0.5000
Nd3 0.8020 0.1980 0.5000
Nd4 0.8020 0.6040 0.5000
Ho1 0.0076 0.5038 0.0000
Ho2 0.1715 0.3430 0.5000
Ho3 0.1715 0.8285 0.5000
Ho4 0.4962 0.5038 0.0000
Ho5 0.4962 0.9924 0.0000
Ho6 0.6570 0.8285 0.5000
```

Main lines, by angle (5° ≤ 2θ ≤ 70°):
| Position (°2θ) | I/Imax |
| --- | --- |
| 9.2 | 11 |
| 24.6 | 19 |
| 29.9 | 15 |
| 31.3 | 99 |
| 32.4 | 100 |
| 35.4 | 27 |
| 37.9 | 15 |
| 45.7 | 28 |
| 51.4 | 12 |
| 57.1 | 36 |
| 57.7 | 17 |
| 62.1 | 31 |

***

No. 4
Structure and computed powder X-ray diffraction pattern of La8NdHo6 (the GGA-PBE geometry in Alexandria; Cu Kα, 1.54184 Å).

Structural model:
```
data_La8NdHo6
_cell_length_a 9.4888
_cell_length_b 9.4888
_cell_length_c 6.6609
_cell_angle_alpha 90.00
_cell_angle_beta 90.00
_cell_angle_gamma 120.00
_space_group_name_H-M_alt 'P 1'
_space_group_IT_number 1
loop_
_space_group_symop_operation_xyz
'x,y,z'
loop_
_atom_site_label
_atom_site_fract_x
_atom_site_fract_y
_atom_site_fract_z
La1 0.0467 0.7529 0.3296
La2 0.2471 0.2938 0.3296
La3 0.2938 0.0467 0.6704
La4 0.3333 0.6667 0.3774
La5 0.6667 0.3333 0.6226
La6 0.7062 0.9533 0.3296
La7 0.7529 0.7062 0.6704
La8 0.9533 0.2471 0.6704
Nd1 0.0000 0.0000 0.0000
Ho1 0.0997 0.6583 0.8443
Ho2 0.3417 0.4414 0.8443
Ho3 0.4414 0.0997 0.1557
Ho4 0.5586 0.9003 0.8443
Ho5 0.6583 0.5586 0.1557
Ho6 0.9003 0.3417 0.1557
```

Main lines, by angle (5° ≤ 2θ ≤ 70°):
| Position (°2θ) | I/Imax |
| --- | --- |
| 25.5 | 23 |
| 28.7 | 41 |
| 28.9 | 27 |
| 31.8 | 100 |
| 32.7 | 18 |
| 32.9 | 55 |
| 48.4 | 11 |
| 50.3 | 15 |
| 50.9 | 14 |
| 52.3 | 11 |
| 58.0 | 11 |
| 61.3 | 12 |

***

No. 5
Structure and computed powder X-ray diffraction pattern of La5NdHo3 (the GGA-PBE geometry in Alexandria; Cu Kα, 1.54184 Å).

Structural model:
```
data_La5NdHo3
_cell_length_a 10.0545
_cell_length_b 10.0545
_cell_length_c 11.4746
_cell_angle_alpha 113.62
_cell_angle_beta 113.62
_cell_angle_gamma 38.36
_space_group_name_H-M_alt 'P 1'
_space_group_IT_number 1
loop_
_space_group_symop_operation_xyz
'x,y,z'
loop_
_atom_site_label
_atom_site_fract_x
_atom_site_fract_y
_atom_site_fract_z
La1 0.0273 0.6353 0.2870
La2 0.0962 0.9038 0.7500
La3 0.1565 0.5034 0.6399
La4 0.3647 0.9727 0.2130
La5 0.4966 0.8435 0.8601
La6 0.5034 0.1565 0.1399
La7 0.6353 0.0273 0.7870
La8 0.8435 0.4966 0.3601
La9 0.9038 0.0962 0.2500
La10 0.9727 0.3647 0.7130
Nd1 0.3631 0.6369 0.2500
Nd2 0.6369 0.3631 0.7500
Ho1 0.0478 0.6318 0.9856
Ho2 0.3682 0.9522 0.5144
Ho3 0.5000 0.5000 0.0000
Ho4 0.5000 0.5000 0.5000
Ho5 0.6318 0.0478 0.4856
Ho6 0.9522 0.3682 0.0144
```

Main lines, by angle (5° ≤ 2θ ≤ 70°):
| Position (°2θ) | I/Imax |
| --- | --- |
| 24.0 | 17 |
| 27.3 | 17 |
| 27.6 | 15 |
| 29.0 | 31 |
| 30.9 | 63 |
| 31.2 | 72 |
| 31.5 | 100 |
| 33.0 | 29 |
| 34.2 | 19 |
| 34.5 | 14 |
| 44.1 | 15 |
| 47.6 | 14 |

***

No. 6
Structure and computed powder X-ray diffraction pattern of La2NdHo5 (the GGA-PBE geometry in Alexandria; Cu Kα, 1.54184 Å).

Structural model:
```
data_La2NdHo5
_cell_length_a 7.1792
_cell_length_b 14.3742
_cell_length_c 5.1239
_cell_angle_alpha 90.00
_cell_angle_beta 90.00
_cell_angle_gamma 90.00
_space_group_name_H-M_alt 'P 1'
_space_group_IT_number 1
loop_
_space_group_symop_operation_xyz
'x,y,z'
loop_
_atom_site_label
_atom_site_fract_x
_atom_site_fract_y
_atom_site_fract_z
La1 0.2446 0.1260 0.0000
La2 0.2554 0.6260 0.0000
La3 0.7446 0.3740 0.0000
La4 0.7554 0.8740 0.0000
Nd1 0.0000 0.5000 0.5000
Nd2 0.5000 0.0000 0.5000
Ho1 0.0000 0.0000 0.5000
Ho2 0.0065 0.7510 0.5000
Ho3 0.2448 0.3750 0.0000
Ho4 0.2552 0.8750 0.0000
Ho5 0.4935 0.2510 0.5000
Ho6 0.5000 0.5000 0.5000
Ho7 0.5065 0.7490 0.5000
Ho8 0.7448 0.1250 0.0000
Ho9 0.7552 0.6250 0.0000
Ho10 0.9935 0.2490 0.5000
```

Main lines, by angle (5° ≤ 2θ ≤ 70°):
| Position (°2θ) | I/Imax |
| --- | --- |
| 30.4 | 100 |
| 35.0 | 17 |
| 35.3 | 33 |
| 50.6 | 24 |
| 50.8 | 12 |
| 60.0 | 15 |
| 60.4 | 28 |
| 63.2 | 12 |

***

No. 7
Structure and computed powder X-ray diffraction pattern of La4Nd4Ho (the GGA-PBE geometry in Alexandria; Cu Kα, 1.54184 Å).

Structural model:
```
data_La4Nd4Ho
_cell_length_a 8.2341
_cell_length_b 8.2341
_cell_length_c 8.2341
_cell_angle_alpha 95.83
_cell_angle_beta 95.83
_cell_angle_gamma 142.84
_space_group_name_H-M_alt 'P 1'
_space_group_IT_number 1
loop_
_space_group_symop_operation_xyz
'x,y,z'
loop_
_atom_site_label
_atom_site_fract_x
_atom_site_fract_y
_atom_site_fract_z
La1 0.1662 0.1662 0.3323
La2 0.1662 0.8338 0.0000
La3 0.8338 0.1662 0.0000
La4 0.8338 0.8338 0.6677
Nd1 0.1671 0.5000 0.6671
Nd2 0.5000 0.1671 0.6671
Nd3 0.5000 0.8329 0.3329
Nd4 0.8329 0.5000 0.3329
Ho1 0.5000 0.5000 0.0000
```

Main lines, by angle (5° ≤ 2θ ≤ 70°):
| Position (°2θ) | I/Imax |
| --- | --- |
| 29.7 | 100 |
| 34.2 | 17 |
| 34.5 | 34 |
| 49.3 | 24 |
| 49.6 | 12 |
| 58.4 | 15 |
| 58.8 | 29 |
| 61.6 | 13 |

***

No. 8
Structure and computed powder X-ray diffraction pattern of La5Nd12Ho2 (the GGA-PBE geometry in Alexandria; Cu Kα, 1.54184 Å).

Structural model:
```
data_La5Nd12Ho2
_cell_length_a 13.8946
_cell_length_b 13.8946
_cell_length_c 13.8946
_cell_angle_alpha 158.19
_cell_angle_beta 135.93
_cell_angle_gamma 49.69
_space_group_name_H-M_alt 'P 1'
_space_group_IT_number 1
loop_
_space_group_symop_operation_xyz
'x,y,z'
loop_
_atom_site_label
_atom_site_fract_x
_atom_site_fract_y
_atom_site_fract_z
La1 0.0000 0.0000 0.0000
La2 0.1984 0.1984 0.0000
La3 0.3018 0.8018 0.5000
La4 0.6982 0.1982 0.5000
La5 0.8016 0.8016 0.0000
Nd1 0.0579 0.3037 0.7541
Nd2 0.0990 0.5990 0.5000
Nd3 0.1628 0.9056 0.2572
Nd4 0.3516 0.0944 0.2572
Nd5 0.4056 0.4056 0.0000
Nd6 0.4504 0.6963 0.7541
Nd7 0.5496 0.3037 0.2459
Nd8 0.5944 0.5944 0.0000
Nd9 0.6484 0.9056 0.7428
Nd10 0.8372 0.0944 0.7428
Nd11 0.9010 0.4010 0.5000
Nd12 0.9421 0.6963 0.2459
Ho1 0.2313 0.5000 0.7313
Ho2 0.7687 0.5000 0.2687
```

Main lines, by angle (5° ≤ 2θ ≤ 70°):
| Position (°2θ) | I/Imax |
| --- | --- |
| 9.2 | 2 |
| 29.9 | 100 |
| 34.1 | 19 |
| 34.4 | 17 |
| 35.6 | 15 |
| 49.2 | 12 |
| 50.1 | 12 |
| 50.4 | 11 |
| 58.5 | 15 |
| 58.9 | 14 |
| 60.5 | 12 |
| 62.2 | 12 |

***

No. 9
Structure and computed powder X-ray diffraction pattern of La3NdHo12 (the GGA-PBE geometry in Alexandria; Cu Kα, 1.54184 Å).

Structural model:
```
data_La3NdHo12
_cell_length_a 5.0615
_cell_length_b 5.0615
_cell_length_c 20.2494
_cell_angle_alpha 90.00
_cell_angle_beta 90.00
_cell_angle_gamma 90.00
_space_group_name_H-M_alt 'P 1'
_space_group_IT_number 1
loop_
_space_group_symop_operation_xyz
'x,y,z'
loop_
_atom_site_label
_atom_site_fract_x
_atom_site_fract_y
_atom_site_fract_z
La1 0.0000 0.0000 0.0000
La2 0.0000 0.0000 0.2499
La3 0.0000 0.0000 0.7501
Nd1 0.0000 0.0000 0.5000
Ho1 0.0000 0.5000 0.1254
Ho2 0.0000 0.5000 0.3765
Ho3 0.0000 0.5000 0.6235
Ho4 0.0000 0.5000 0.8746
Ho5 0.5000 0.0000 0.1254
Ho6 0.5000 0.0000 0.3765
Ho7 0.5000 0.0000 0.6235
Ho8 0.5000 0.0000 0.8746
Ho9 0.5000 0.5000 0.0000
Ho10 0.5000 0.5000 0.2511
Ho11 0.5000 0.5000 0.5000
Ho12 0.5000 0.5000 0.7489
```

Main lines, by angle (5° ≤ 2θ ≤ 70°):
| Position (°2θ) | I/Imax |
| --- | --- |
| 30.6 | 100 |
| 35.5 | 51 |
| 51.0 | 36 |
| 60.7 | 43 |
| 63.7 | 12 |

***

No. 10
Structure and computed powder X-ray diffraction pattern of La2Nd5Ho6 (the GGA-PBE geometry in Alexandria; Cu Kα, 1.54184 Å).

Structural model:
```
data_La2Nd5Ho6
_cell_length_a 11.8115
_cell_length_b 20.7011
_cell_length_c 3.6208
_cell_angle_alpha 90.00
_cell_angle_beta 90.00
_cell_angle_gamma 90.00
_space_group_name_H-M_alt 'P 1'
_space_group_IT_number 1
loop_
_space_group_symop_operation_xyz
'x,y,z'
loop_
_atom_site_label
_atom_site_fract_x
_atom_site_fract_y
_atom_site_fract_z
La1 0.1732 0.2229 0.0000
La2 0.3268 0.7229 0.0000
La3 0.6732 0.2771 0.0000
La4 0.8268 0.7771 0.0000
Nd1 0.0000 0.5000 0.5000
Nd2 0.0863 0.7837 0.5000
Nd3 0.2012 0.0550 0.5000
Nd4 0.2988 0.5550 0.5000
Nd5 0.4137 0.2837 0.5000
Nd6 0.5000 0.0000 0.5000
Nd7 0.5863 0.7163 0.5000
Nd8 0.7012 0.4450 0.5000
Nd9 0.7988 0.9450 0.5000
Nd10 0.9137 0.2163 0.5000
Ho1 0.0630 0.9263 0.0000
Ho2 0.0719 0.6385 0.0000
Ho3 0.1836 0.3760 0.5000
Ho4 0.3164 0.8760 0.5000
Ho5 0.4281 0.1385 0.0000
Ho6 0.4370 0.4263 0.0000
Ho7 0.5630 0.5737 0.0000
Ho8 0.5719 0.8615 0.0000
Ho9 0.6836 0.1240 0.5000
Ho10 0.8164 0.6240 0.5000
Ho11 0.9281 0.3615 0.0000
Ho12 0.9370 0.0737 0.0000
```

Main lines, by angle (5° ≤ 2θ ≤ 70°):
| Position (°2θ) | I/Imax |
| --- | --- |
| 28.9 | 25 |
| 30.2 | 17 |
| 30.6 | 59 |
| 31.1 | 100 |
| 31.8 | 87 |
| 33.8 | 41 |
| 34.6 | 27 |
| 36.1 | 25 |
| 50.4 | 20 |
| 51.4 | 18 |
| 60.1 | 21 |
| 60.5 | 19 |

***

No. 11
Structure and computed powder X-ray diffraction pattern of La4NdHo2 (the GGA-PBE geometry in Alexandria; Cu Kα, 1.54184 Å).

Structural model:
```
data_La4NdHo2
_cell_length_a 12.7778
_cell_length_b 12.7778
_cell_length_c 6.9191
_cell_angle_alpha 96.95
_cell_angle_beta 96.95
_cell_angle_gamma 150.30
_space_group_name_H-M_alt 'P 1'
_space_group_IT_number 1
loop_
_space_group_symop_operation_xyz
'x,y,z'
loop_
_atom_site_label
_atom_site_fract_x
_atom_site_fract_y
_atom_site_fract_z
La1 0.0186 0.9814 0.5000
La2 0.1391 0.6026 0.7433
La3 0.2153 0.6106 0.2830
La4 0.4493 0.5534 0.4615
La5 0.5534 0.4493 0.9615
La6 0.6026 0.1391 0.2433
La7 0.6106 0.2153 0.7830
La8 0.9814 0.0186 0.0000
Nd1 0.0913 0.8418 0.8739
Nd2 0.8418 0.0913 0.3739
Ho1 0.0479 0.7325 0.3265
Ho2 0.3455 0.5308 0.9202
Ho3 0.5308 0.3455 0.4202
Ho4 0.7325 0.0479 0.8265
```

Main lines, by angle (5° ≤ 2θ ≤ 70°):
| Position (°2θ) | I/Imax |
| --- | --- |
| 29.3 | 15 |
| 29.7 | 100 |
| 30.2 | 29 |
| 31.0 | 34 |
| 31.0 | 34 |
| 31.6 | 28 |
| 31.8 | 20 |
| 36.4 | 31 |
| 49.7 | 21 |
| 53.6 | 9 |
| 54.1 | 15 |
| 59.5 | 14 |

***

No. 12
Structure and computed powder X-ray diffraction pattern of La6Nd2Ho (the GGA-PBE geometry in Alexandria; Cu Kα, 1.54184 Å).

Structural model:
```
data_La6Nd2Ho
_cell_length_a 3.6809
_cell_length_b 3.6809
_cell_length_c 27.7326
_cell_angle_alpha 90.00
_cell_angle_beta 90.00
_cell_angle_gamma 120.00
_space_group_name_H-M_alt 'P 1'
_space_group_IT_number 1
loop_
_space_group_symop_operation_xyz
'x,y,z'
loop_
_atom_site_label
_atom_site_fract_x
_atom_site_fract_y
_atom_site_fract_z
La1 0.0000 0.0000 0.0622
La2 0.0000 0.0000 0.2817
La3 0.0000 0.0000 0.7183
La4 0.0000 0.0000 0.9378
La5 0.3333 0.6667 0.3953
La6 0.3333 0.6667 0.6047
Nd1 0.3333 0.6667 0.1702
Nd2 0.3333 0.6667 0.8298
Ho1 0.0000 0.0000 0.5000
```

Main lines, by angle (5° ≤ 2θ ≤ 70°):
| Position (°2θ) | I/Imax |
| --- | --- |
| 28.0 | 47 |
| 29.0 | 51 |
| 29.6 | 12 |
| 30.9 | 67 |
| 32.4 | 100 |
| 40.7 | 32 |
| 49.5 | 37 |
| 54.5 | 31 |
| 58.4 | 42 |
| 59.5 | 10 |
| 60.4 | 18 |
| 66.0 | 8 |

***

Number 12 is which compound? La6Nd2Ho